[1]
Starting from a structure optimized by DFT (GGA-PBE), the powder XRD pattern of Cs2Li4UO6 was simulated for Cu Kα (weighted mean of Kα1 and Kα2).
Kinematic intensities with the Lorentz-polarization factor, no thermal factor.

The 6 most intense peaks (10° ≤ 2θ ≤ 80°), sorted by position:
two_theta  intensity
22.3  100
28.5  46
34.7  13
36.5  34
42.2  29
47.0  28

Crystal structure
```
data_Cs2Li4UO6
_chemical_formula_sum 'Cs2 Li4 U1 O6'
_cell_length_a 6.2568
_cell_length_b 6.2568
_cell_length_c 5.8821
_cell_angle_alpha 90.00
_cell_angle_beta 90.00
_cell_angle_gamma 120.00
_space_group_name_H-M_alt 'P 1'
_space_group_IT_number 1
loop_
_space_group_symop_operation_xyz
'x,y,z'
loop_
_atom_site_label
_atom_site_type_symbol
_atom_site_fract_x
_atom_site_fract_y
_atom_site_fract_z
Cs1 Cs 0.3333 0.6667 0.4338
Cs2 Cs 0.6667 0.3333 0.5662
Li1 Li 0.0000 0.0000 0.5000
Li2 Li 0.0000 0.5000 0.0000
Li3 Li 0.5000 0.0000 0.0000
Li4 Li 0.5000 0.5000 0.0000
U1 U 0.0000 0.0000 0.0000
O1 O 0.1613 0.3226 0.8041
O2 O 0.1613 0.8387 0.8041
O3 O 0.3226 0.1613 0.1959
O4 O 0.6774 0.8387 0.8041
O5 O 0.8387 0.1613 0.1959
O6 O 0.8387 0.6774 0.1959
```

=====

[2]
Starting from a structure optimized by DFT (GGA-PBE), the powder XRD pattern of Cs3LiPb4 was simulated for Cu Kα (weighted mean of Kα1 and Kα2).
Kinematic intensities with the Lorentz-polarization factor, no thermal factor.

The 6 most intense peaks (10° ≤ 2θ ≤ 80°), sorted by position:
two_theta  intensity
13.0  74
26.2  100
27.8  83
31.0  39
32.1  58
32.8  53

Crystal structure
```
data_Cs3LiPb4
_chemical_formula_sum 'Cs6 Li2 Pb8'
_cell_length_a 9.4715
_cell_length_b 9.4715
_cell_length_c 10.9027
_cell_angle_alpha 90.00
_cell_angle_beta 90.00
_cell_angle_gamma 134.16
_space_group_name_H-M_alt 'P 1'
_space_group_IT_number 1
loop_
_space_group_symop_operation_xyz
'x,y,z'
loop_
_atom_site_label
_atom_site_type_symbol
_atom_site_fract_x
_atom_site_fract_y
_atom_site_fract_z
Cs1 Cs 0.1118 0.8882 0.5542
Cs2 Cs 0.1118 0.8882 0.9458
Cs3 Cs 0.2681 0.7319 0.2500
Cs4 Cs 0.7319 0.2681 0.7500
Cs5 Cs 0.8882 0.1118 0.0542
Cs6 Cs 0.8882 0.1118 0.4458
Li1 Li 0.5000 0.5000 0.0000
Li2 Li 0.5000 0.5000 0.5000
Pb1 Pb 0.2378 0.3220 0.7500
Pb2 Pb 0.3220 0.2378 0.2500
Pb3 Pb 0.3320 0.6680 0.6080
Pb4 Pb 0.3320 0.6680 0.8920
Pb5 Pb 0.6680 0.3320 0.1080
Pb6 Pb 0.6680 0.3320 0.3920
Pb7 Pb 0.6780 0.7622 0.7500
Pb8 Pb 0.7622 0.6780 0.2500
```

=====

[3]
Starting from a structure optimized by DFT (GGA-PBE), the powder XRD pattern of CsLuP2O7 was simulated for Cu Kα (weighted mean of Kα1 and Kα2).
Kinematic intensities with the Lorentz-polarization factor, no thermal factor.

The 6 most intense peaks (10° ≤ 2θ ≤ 80°), sorted by position:
two_theta  intensity
15.8  44
22.8  37
23.1  45
27.3  76
27.6  69
28.3  100

Crystal structure
```
data_CsLuP2O7
_chemical_formula_sum 'Cs4 Lu4 P8 O28'
_cell_length_a 7.9580
_cell_length_b 10.8026
_cell_length_c 8.7824
_cell_angle_alpha 90.00
_cell_angle_beta 104.47
_cell_angle_gamma 90.00
_space_group_name_H-M_alt 'P 1'
_space_group_IT_number 1
loop_
_space_group_symop_operation_xyz
'x,y,z'
loop_
_atom_site_label
_atom_site_type_symbol
_atom_site_fract_x
_atom_site_fract_y
_atom_site_fract_z
Cs1 Cs 0.1997 0.1944 0.0499
Cs2 Cs 0.1997 0.3056 0.5499
Cs3 Cs 0.8003 0.6944 0.4501
Cs4 Cs 0.8003 0.8056 0.9501
Lu1 Lu 0.2378 0.5996 0.2540
Lu2 Lu 0.2378 0.9004 0.7540
Lu3 Lu 0.7622 0.0996 0.2460
Lu4 Lu 0.7622 0.4004 0.7460
P1 P 0.1309 0.5958 0.8243
P2 P 0.1309 0.9042 0.3243
P3 P 0.4272 0.6290 0.6823
P4 P 0.4272 0.8710 0.1823
P5 P 0.5728 0.1290 0.8177
P6 P 0.5728 0.3710 0.3177
P7 P 0.8691 0.0958 0.6757
P8 P 0.8691 0.4042 0.1757
O1 O 0.0014 0.0027 0.7691
O2 O 0.0014 0.4973 0.2691
O3 O 0.0870 0.7283 0.7632
O4 O 0.0870 0.7717 0.2632
O5 O 0.1551 0.5849 0.0007
O6 O 0.1551 0.9151 0.5007
O7 O 0.3166 0.5578 0.7902
O8 O 0.3166 0.9422 0.2902
O9 O 0.3332 0.6031 0.5115
O10 O 0.3332 0.8969 0.0115
O11 O 0.3924 0.0701 0.7680
O12 O 0.3924 0.4299 0.2680
O13 O 0.4358 0.7335 0.2263
O14 O 0.4358 0.7665 0.7263
O15 O 0.5642 0.2335 0.2737
O16 O 0.5642 0.2665 0.7737
O17 O 0.6076 0.5701 0.7320
O18 O 0.6076 0.9299 0.2320
O19 O 0.6668 0.1031 0.9885
O20 O 0.6668 0.3969 0.4885
O21 O 0.6834 0.0578 0.7098
O22 O 0.6834 0.4422 0.2098
O23 O 0.8449 0.0849 0.4993
O24 O 0.8449 0.4151 0.9993
O25 O 0.9130 0.2283 0.7368
O26 O 0.9130 0.2717 0.2368
O27 O 0.9986 0.5027 0.7309
O28 O 0.9986 0.9973 0.2309
```